Theoretical XRD peak list
Compound: CoHgTeO
Radiation: λ = 1.5418 Å (Cu Kα)
Structure: a structure optimized by DFT (GGA+U)

Atomic structure:
a = 5.961 Å, b = 13.482 Å, c = 8.965 Å
α = 90.00°, β = 90.00°, γ = 90.00°
Atoms (fractional coordinates):
1 Co 0.099 0.242 0.249
2 Co 0.099 0.258 0.749
3 Co 0.401 0.742 0.249
4 Co 0.401 0.758 0.749
5 Co 0.599 0.242 0.251
6 Co 0.599 0.258 0.751
7 Co 0.901 0.742 0.251
8 Co 0.901 0.758 0.751
9 Hg 0.143 0.632 0.044
10 Hg 0.143 0.868 0.544
11 Hg 0.357 0.132 0.044
12 Hg 0.357 0.368 0.544
13 Hg 0.643 0.632 0.456
14 Hg 0.643 0.868 0.956
15 Hg 0.857 0.132 0.456
16 Hg 0.857 0.368 0.956
17 Te 0.145 0.046 0.723
18 Te 0.145 0.454 0.223
19 Te 0.355 0.546 0.723
20 Te 0.355 0.954 0.223
21 Te 0.645 0.046 0.777
22 Te 0.645 0.454 0.277
23 Te 0.855 0.546 0.777
24 Te 0.855 0.954 0.277
25 O 0.155 0.735 0.368
26 O 0.155 0.765 0.868
27 O 0.345 0.235 0.368
28 O 0.345 0.265 0.868
29 O 0.655 0.735 0.132
30 O 0.655 0.765 0.632
31 O 0.845 0.235 0.132
32 O 0.845 0.265 0.632

The 10 most intense peaks (5 to 70 degrees two-theta), in order of rising 2θ:
Position (°2θ), Rel. int., hkl
19.05, 65, 1 1 1
22.24, 100, 1 2 1
28.28, 32, 0 4 1
32.34, 45, 2 1 1
32.78, 42, 0 2 3
33.26, 74, 0 4 2
36.17, 32, 1 2 3
36.82, 66, 2 1 2
45.35, 47, 2 5 0
47.60, 26, 2 3 3